This entry pairs a crystal structure of Li9Co7O16 with its computed X-ray powder pattern. Radiation: Cu Kα (weighted mean of Kα1 and Kα2). Structure: DFT lattice parameters and positions (GGA+U).

Peak list (10 most intense, 10 to 80 degrees two-theta, sorted by position)
| 2θ/deg | Rel. int. |
| --- | --- |
| 18.58 | 100 |
| 36.27 | 28 |
| 36.69 | 12 |
| 37.94 | 8 |
| 43.97 | 53 |
| 44.41 | 25 |
| 48.19 | 8 |
| 58.08 | 10 |
| 63.88 | 21 |
| 64.62 | 7 |

Cell and atoms:
```
Li9Co7O16
1.0
5.0631 0.0000 0.0000
1.6779 5.5810 0.0000
2.4878 2.2722 9.7968
Li Co O
9 7 16
Cartesian
0.0000 0.0000 0.0000 Li
5.0209 4.5607 6.1417 Li
5.8615 5.8541 8.5959 Li
4.1751 1.7686 6.1038 Li
5.0188 3.0108 8.6398 Li
4.2100 4.8424 1.1571 Li
5.0537 6.0846 3.6931 Li
3.3673 1.9991 1.2009 Li
4.2078 3.2925 3.6551 Li
0.8389 2.7905 0.0000 Co
1.6654 2.5243 4.9037 Co
2.5170 3.7835 7.3959 Co
0.8286 1.2394 2.3518 Co
8.4002 6.6138 7.4450 Co
6.7118 4.0697 2.4009 Co
7.5633 5.3288 4.8931 Co
2.3488 3.7516 0.7349 O
2.4134 2.4165 3.0804 O
3.1917 5.0324 3.0396 O
4.0414 4.7917 8.0233 O
3.2404 3.5698 5.6206 O
1.6177 1.1197 0.6688 O
4.0939 6.3276 5.5282 O
3.2710 2.1442 7.8646 O
5.9577 5.7090 1.9322 O
5.1349 1.5256 4.2686 O
7.6111 6.7335 9.1280 O
5.9884 4.2834 4.1762 O
5.1874 3.0615 1.7735 O
6.0371 2.8208 6.7572 O
6.8153 5.4367 6.7165 O
6.8800 4.1016 9.0620 O
```